Simulated PXRD pattern of Cs3Tc2O7 for copper Kα, from a cell relaxed with PBE.
Intensities are scaled so that the largest is 100.

Atomic structure:
```
data_Cs3Tc2O7
_symmetry_space_group_name_H-M 'C m m m'
_symmetry_Int_Tables_number 65
_symmetry_space_group_name_Hall '-C 2 2'
_cell_length_a 4.025
_cell_length_b 25.875
_cell_length_c 4.020
_cell_angle_alpha 90.00
_cell_angle_beta 90.00
_cell_angle_gamma 90.00
loop_
_atom_site_label
_atom_site_fract_x
_atom_site_fract_y
_atom_site_fract_z
_atom_site_occupancy
Cs1 0.000 0.000 0.000 1
Cs2 0.000 0.174 0.000 1
Tc1 0.000 0.420 0.500 1
O1 0.000 0.080 0.500 1
O2 0.000 0.348 0.500 1
O3 0.000 0.420 0.000 1
O4 0.000 0.500 0.500 1
```

Top 10 peaks for 2θ = 15–90°, most intense first:
| 2theta | I/Imax |
| --- | --- |
| 31.64 | 100.0 |
| 30.40 | 97.3 |
| 28.09 | 86.4 |
| 45.07 | 55.4 |
| 55.31 | 36.1 |
| 50.34 | 34.0 |
| 63.22 | 31.4 |
| 32.90 | 28.2 |
| 41.90 | 28.2 |
| 53.98 | 27.5 |